Entry 1:
Diffraction record for Ac12Co5Pb. The powder XRD pattern is computed, not measured: it uses a crystal structure in Alexandria, relaxed with GGA-PBE and Cu Kα.
Lines closer than 0.1° are merged.

Principal peaks in the range 5° ≤ 2θ ≤ 70°, low angle first:
2θ 26.31, d = 3.388 Å, intensity 600; 2θ 26.65, d = 3.345 Å, intensity 641; 2θ 26.84, d = 3.322 Å, intensity 681; 2θ 29.19, d = 3.059 Å, intensity 1000; 2θ 31.41, d = 2.848 Å, intensity 734; 2θ 31.56, d = 2.835 Å, intensity 669; 2θ 31.79, d = 2.815 Å, intensity 575; 2θ 49.74, d = 1.833 Å, intensity 351; 2θ 50.43, d = 1.810 Å, intensity 556; 2θ 52.95, d = 1.729 Å, intensity 265; 2θ 53.29, d = 1.719 Å, intensity 301; 2θ 53.62, d = 1.709 Å, intensity 365

Structural model:
abc: 9.1795 9.1795 9.1795
angles: 110.26 109.74 108.42
Sites, in units of the cell vectors:
Ac1 0.0032 0.1890 0.8142
Ac2 0.1858 0.3105 0.4963
Ac3 0.1858 0.6895 0.8752
Ac4 0.3181 0.0040 0.6859
Ac5 0.3181 0.6322 0.3141
Ac6 0.3748 0.1890 0.1858
Ac7 0.6252 0.8110 0.8142
Ac8 0.6819 0.3678 0.6859
Ac9 0.6819 0.9960 0.3141
Ac10 0.8142 0.3105 0.1248
Ac11 0.8142 0.6895 0.5037
Ac12 0.9968 0.8110 0.1858
Co1 0.0000 0.0000 0.0000
Co2 0.1087 0.6087 0.5000
Co3 0.3857 0.0000 0.3857
Co4 0.6143 0.0000 0.6143
Co5 0.8913 0.3913 0.5000
Pb1 0.5000 0.5000 0.0000

***

Entry 2:
Diffraction record for Ac12Co6Pb. The powder XRD pattern is computed, not measured: it uses a crystal structure in Alexandria, relaxed with GGA-PBE and Cu Kα.
Lines closer than 0.1° are merged.

Principal peaks in the range 5° ≤ 2θ ≤ 70°, low angle first:
2θ 26.45, d = 3.370 Å, intensity 748; 2θ 29.03, d = 3.076 Å, intensity 450; 2θ 31.41, d = 2.848 Å, intensity 1000; 2θ 33.64, d = 2.664 Å, intensity 134; 2θ 35.75, d = 2.512 Å, intensity 79; 2θ 43.29, d = 2.090 Å, intensity 246; 2θ 49.90, d = 1.828 Å, intensity 452; 2θ 51.45, d = 1.776 Å, intensity 171; 2θ 52.97, d = 1.729 Å, intensity 420; 2θ 58.77, d = 1.571 Å, intensity 118; 2θ 61.53, d = 1.507 Å, intensity 188; 2θ 64.23, d = 1.450 Å, intensity 80

Structural model:
abc: 9.2287 9.2287 9.2287
angles: 109.47 109.47 109.47
Sites, in units of the cell vectors:
Ac1 0.1248 0.3125 0.8123
Ac2 0.1877 0.5003 0.3125
Ac3 0.1877 0.8752 0.6875
Ac4 0.3125 0.1877 0.5003
Ac5 0.3125 0.8123 0.1248
Ac6 0.5003 0.3125 0.1877
Ac7 0.4997 0.6875 0.8123
Ac8 0.6875 0.1877 0.8752
Ac9 0.6875 0.8123 0.4997
Ac10 0.8123 0.1248 0.3125
Ac11 0.8123 0.4997 0.6875
Ac12 0.8752 0.6875 0.1877
Co1 0.1078 0.5000 0.6078
Co2 0.3922 0.8922 0.5000
Co3 0.5000 0.3922 0.8922
Co4 0.5000 0.6078 0.1078
Co5 0.6078 0.1078 0.5000
Co6 0.8922 0.5000 0.3922
Pb1 0.0000 0.0000 0.0000

***

Entry 3:
Diffraction record for Ac8Co4Pd. The powder XRD pattern is computed, not measured: it uses a crystal structure in Alexandria, relaxed with GGA-PBE and Cu Kα.
Lines closer than 0.1° are merged.

Principal peaks in the range 5° ≤ 2θ ≤ 70°, low angle first:
2θ 13.27, d = 6.673 Å, intensity 120; 2θ 23.98, d = 3.712 Å, intensity 159; 2θ 26.72, d = 3.336 Å, intensity 281; 2θ 27.42, d = 3.252 Å, intensity 1000; 2θ 27.57, d = 3.235 Å, intensity 966; 2θ 36.11, d = 2.487 Å, intensity 410; 2θ 36.34, d = 2.472 Å, intensity 257; 2θ 42.17, d = 2.143 Å, intensity 618; 2θ 47.78, d = 1.904 Å, intensity 242; 2θ 50.42, d = 1.810 Å, intensity 126; 2θ 50.99, d = 1.791 Å, intensity 181; 2θ 51.17, d = 1.785 Å, intensity 178

Structural model:
abc: 7.9301 7.9301 9.9384
angles: 124.00 124.00 65.40
Sites, in units of the cell vectors:
Ac1 0.1842 0.7101 0.6666
Ac2 0.1984 0.1984 0.1560
Ac3 0.2899 0.8158 0.3334
Ac4 0.3065 0.3065 0.8266
Ac5 0.6935 0.6935 0.1734
Ac6 0.7101 0.1842 0.6666
Ac7 0.8016 0.8016 0.8440
Ac8 0.8158 0.2899 0.3334
Co1 0.2490 0.7510 0.0000
Co2 0.2750 0.2750 0.5008
Co3 0.7250 0.7250 0.4992
Co4 0.7510 0.2490 0.0000
Pd1 0.5000 0.5000 0.5000

***

Entry 4:
Diffraction record for Ac6Co2Pd. The powder XRD pattern is computed, not measured: it uses a crystal structure in Alexandria, relaxed with GGA-PBE and Cu Kα.
Lines closer than 0.1° are merged.

Principal peaks in the range 5° ≤ 2θ ≤ 70°, low angle first:
2θ 12.76, d = 6.935 Å, intensity 139; 2θ 23.90, d = 3.723 Å, intensity 93; 2θ 25.69, d = 3.468 Å, intensity 159; 2θ 27.18, d = 3.280 Å, intensity 1000; 2θ 35.37, d = 2.538 Å, intensity 337; 2θ 42.03, d = 2.150 Å, intensity 286; 2θ 46.22, d = 1.964 Å, intensity 251; 2θ 49.92, d = 1.827 Å, intensity 155; 2θ 50.78, d = 1.798 Å, intensity 177; 2θ 64.24, d = 1.450 Å, intensity 91; 2θ 67.97, d = 1.379 Å, intensity 141; 2θ 69.67, d = 1.350 Å, intensity 97

Structural model:
abc: 7.4463 7.4463 6.9353
angles: 90.00 90.00 120.00
Sites, in units of the cell vectors:
Ac1 0.0000 0.3490 0.2271
Ac2 0.0000 0.6510 0.7729
Ac3 0.3490 0.0000 0.2271
Ac4 0.3490 0.3490 0.7729
Ac5 0.6510 0.0000 0.7729
Ac6 0.6510 0.6510 0.2271
Co1 0.3333 0.6667 0.0000
Co2 0.6667 0.3333 0.0000
Pd1 0.0000 0.0000 0.0000

***

Entry 5:
Diffraction record for Ac14Co3Pd6. The powder XRD pattern is computed, not measured: it uses a crystal structure in Alexandria, relaxed with GGA-PBE and Cu Kα.
Lines closer than 0.1° are merged.

Principal peaks in the range 5° ≤ 2θ ≤ 70°, low angle first:
2θ 25.42, d = 3.504 Å, intensity 153; 2θ 25.97, d = 3.431 Å, intensity 379; 2θ 28.19, d = 3.166 Å, intensity 1000; 2θ 29.38, d = 3.040 Å, intensity 109; 2θ 30.96, d = 2.888 Å, intensity 459; 2θ 31.38, d = 2.851 Å, intensity 372; 2θ 33.48, d = 2.676 Å, intensity 371; 2θ 41.53, d = 2.174 Å, intensity 190; 2θ 47.20, d = 1.926 Å, intensity 282; 2θ 49.44, d = 1.844 Å, intensity 289; 2θ 50.76, d = 1.798 Å, intensity 236; 2θ 51.20, d = 1.784 Å, intensity 191

Structural model:
abc: 10.7056 10.7056 7.3853
angles: 90.00 90.00 120.00
Sites, in units of the cell vectors:
Ac1 0.0000 0.0000 0.0000
Ac2 0.0771 0.5386 0.2522
Ac3 0.2065 0.4131 0.7706
Ac4 0.2065 0.7935 0.7706
Ac5 0.2487 0.1244 0.4368
Ac6 0.4182 0.2091 0.9333
Ac7 0.4614 0.5386 0.2522
Ac8 0.4614 0.9229 0.2522
Ac9 0.5869 0.7935 0.7706
Ac10 0.6667 0.3333 0.4952
Ac11 0.7909 0.2091 0.9333
Ac12 0.7909 0.5818 0.9333
Ac13 0.8756 0.1244 0.4368
Ac14 0.8756 0.7513 0.4368
Co1 0.0000 0.0000 0.6436
Co2 0.3333 0.6667 0.0187
Co3 0.6667 0.3333 0.1416
Pd1 0.1471 0.2942 0.1753
Pd2 0.1471 0.8529 0.1753
Pd3 0.5202 0.0404 0.6726
Pd4 0.5202 0.4798 0.6726
Pd5 0.7058 0.8529 0.1753
Pd6 0.9596 0.4798 0.6726

***

Entry 6:
Diffraction record for Ac5CoPd2. The powder XRD pattern is computed, not measured: it uses a crystal structure in Alexandria, relaxed with GGA-PBE and Cu Kα.
Lines closer than 0.1° are merged.

Principal peaks in the range 5° ≤ 2θ ≤ 70°, low angle first:
2θ 23.98, d = 3.711 Å, intensity 420; 2θ 24.39, d = 3.649 Å, intensity 401; 2θ 25.88, d = 3.442 Å, intensity 428; 2θ 27.85, d = 3.204 Å, intensity 408; 2θ 29.15, d = 3.064 Å, intensity 1000; 2θ 31.45, d = 2.845 Å, intensity 266; 2θ 33.71, d = 2.659 Å, intensity 706; 2θ 34.93, d = 2.569 Å, intensity 227; 2θ 35.80, d = 2.508 Å, intensity 292; 2θ 39.73, d = 2.269 Å, intensity 278; 2θ 45.12, d = 2.010 Å, intensity 214; 2θ 49.11, d = 1.855 Å, intensity 342

Structural model:
abc: 10.3606 5.3179 20.0722
angles: 90.00 90.00 90.00
Sites, in units of the cell vectors:
Ac1 0.0435 0.2500 0.1920
Ac2 0.0668 0.2500 0.4387
Ac3 0.1470 0.2500 0.0096
Ac4 0.1573 0.2500 0.6395
Ac5 0.2427 0.2500 0.8229
Ac6 0.2573 0.7500 0.3229
Ac7 0.3427 0.7500 0.1395
Ac8 0.3530 0.7500 0.5096
Ac9 0.4332 0.7500 0.9387
Ac10 0.4565 0.7500 0.6920
Ac11 0.5435 0.2500 0.3080
Ac12 0.5668 0.2500 0.0613
Ac13 0.6470 0.2500 0.4904
Ac14 0.6573 0.2500 0.8605
Ac15 0.7427 0.2500 0.6771
Ac16 0.7573 0.7500 0.1771
Ac17 0.8427 0.7500 0.3605
Ac18 0.8530 0.7500 0.9904
Ac19 0.9332 0.7500 0.5613
Ac20 0.9565 0.7500 0.8080
Co1 0.1050 0.7500 0.4384
Co2 0.3950 0.2500 0.9384
Co3 0.6050 0.7500 0.0616
Co4 0.8950 0.2500 0.5616
Pd1 0.0495 0.7500 0.1019
Pd2 0.1849 0.7500 0.7261
Pd3 0.3151 0.2500 0.2261
Pd4 0.4505 0.2500 0.6019
Pd5 0.5495 0.7500 0.3981
Pd6 0.6849 0.7500 0.7739
Pd7 0.8151 0.2500 0.2739
Pd8 0.9505 0.2500 0.8981

***

Entry 7:
Diffraction record for Ac12PmCo7. The powder XRD pattern is computed, not measured: it uses a crystal structure in Alexandria, relaxed with GGA-PBE and Cu Kα.
Lines closer than 0.1° are merged.

Principal peaks in the range 5° ≤ 2θ ≤ 70°, low angle first:
2θ 16.26, d = 5.453 Å, intensity 51; 2θ 26.35, d = 3.382 Å, intensity 1000; 2θ 30.52, d = 2.929 Å, intensity 973; 2θ 43.65, d = 2.074 Å, intensity 364; 2θ 43.76, d = 2.069 Å, intensity 358; 2θ 51.74, d = 1.767 Å, intensity 363; 2θ 51.82, d = 1.764 Å, intensity 121; 2θ 54.11, d = 1.695 Å, intensity 64; 2θ 54.29, d = 1.690 Å, intensity 187; 2θ 63.52, d = 1.465 Å, intensity 116; 2θ 69.86, d = 1.346 Å, intensity 48; 2θ 69.98, d = 1.344 Å, intensity 50

Structural model:
abc: 9.2561 9.2561 9.2561
angles: 107.39 107.39 107.39
Sites, in units of the cell vectors:
Ac1 0.0519 0.1265 0.3441
Ac2 0.1265 0.3441 0.0519
Ac3 0.1861 0.5749 0.7196
Ac4 0.2804 0.8139 0.4251
Ac5 0.3441 0.0519 0.1265
Ac6 0.4251 0.2804 0.8139
Ac7 0.5749 0.7196 0.1861
Ac8 0.6559 0.9481 0.8735
Ac9 0.7196 0.1861 0.5749
Ac10 0.8139 0.4251 0.2804
Ac11 0.8735 0.6559 0.9481
Ac12 0.9481 0.8735 0.6559
Pm1 0.5000 0.5000 0.5000
Co1 0.0000 0.0000 0.0000
Co2 0.1493 0.4766 0.3797
Co3 0.3797 0.1493 0.4766
Co4 0.4766 0.3797 0.1493
Co5 0.5234 0.6203 0.8507
Co6 0.6203 0.8507 0.5234
Co7 0.8507 0.5234 0.6203

***

Entry 8:
Diffraction record for AcPm3Co. The powder XRD pattern is computed, not measured: it uses a crystal structure in Alexandria, relaxed with GGA-PBE and Cu Kα.
Lines closer than 0.1° are merged.

Principal peaks in the range 5° ≤ 2θ ≤ 70°, low angle first:
2θ 28.79, d = 3.101 Å, intensity 441; 2θ 28.92, d = 3.087 Å, intensity 445; 2θ 29.14, d = 3.064 Å, intensity 855; 2θ 29.76, d = 3.002 Å, intensity 1000; 2θ 31.79, d = 2.815 Å, intensity 446; 2θ 32.91, d = 2.721 Å, intensity 265; 2θ 33.12, d = 2.705 Å, intensity 295; 2θ 33.62, d = 2.666 Å, intensity 253; 2θ 40.34, d = 2.236 Å, intensity 186; 2θ 42.99, d = 2.104 Å, intensity 195; 2θ 49.31, d = 1.848 Å, intensity 173; 2θ 52.61, d = 1.740 Å, intensity 189

Structural model:
abc: 7.4760 7.4760 8.5703
angles: 124.79 124.79 68.50
Sites, in units of the cell vectors:
Ac1 0.0476 0.0476 0.3296
Ac2 0.9524 0.9524 0.6704
Pm1 0.0463 0.4608 0.2071
Pm2 0.4584 0.4584 0.7548
Pm3 0.4608 0.0463 0.2071
Pm4 0.5392 0.9537 0.7929
Pm5 0.5416 0.5416 0.2452
Pm6 0.9537 0.5392 0.7929
Co1 0.2525 0.2525 0.9003
Co2 0.7475 0.7475 0.0997

***

Entry 9:
Diffraction record for Ac6PmCo2. The powder XRD pattern is computed, not measured: it uses a crystal structure in Alexandria, relaxed with GGA-PBE and Cu Kα.
Lines closer than 0.1° are merged.

Principal peaks in the range 5° ≤ 2θ ≤ 70°, low angle first:
2θ 24.62, d = 3.617 Å, intensity 386; 2θ 25.11, d = 3.547 Å, intensity 735; 2θ 27.01, d = 3.301 Å, intensity 796; 2θ 27.64, d = 3.228 Å, intensity 362; 2θ 28.63, d = 3.118 Å, intensity 1000; 2θ 30.58, d = 2.924 Å, intensity 669; 2θ 30.82, d = 2.901 Å, intensity 493; 2θ 31.85, d = 2.810 Å, intensity 697; 2θ 32.45, d = 2.759 Å, intensity 383; 2θ 33.53, d = 2.673 Å, intensity 652; 2θ 33.91, d = 2.644 Å, intensity 428; 2θ 55.84, d = 1.647 Å, intensity 372

Structural model:
abc: 8.9834 8.9834 10.3359
angles: 111.78 111.78 58.52
Sites, in units of the cell vectors:
Ac1 0.0590 0.6611 0.4539
Ac2 0.0849 0.6602 0.8339
Ac3 0.2552 0.4296 0.1185
Ac4 0.3389 0.9410 0.0461
Ac5 0.3398 0.9151 0.6661
Ac6 0.4296 0.2552 0.6185
Ac7 0.5704 0.7448 0.3815
Ac8 0.6602 0.0849 0.3339
Ac9 0.6611 0.0590 0.9539
Ac10 0.7448 0.5704 0.8815
Ac11 0.9151 0.3398 0.1661
Ac12 0.9410 0.3389 0.5461
Pm1 0.0877 0.9123 0.2500
Pm2 0.9123 0.0877 0.7500
Co1 0.1210 0.2836 0.8220
Co2 0.2836 0.1210 0.3220
Co3 0.7164 0.8790 0.6780
Co4 0.8790 0.7164 0.1780

***

Entry 10:
Diffraction record for Ac3PrTlCo. The powder XRD pattern is computed, not measured: it uses a crystal structure in Alexandria, relaxed with GGA-PBE and Cu Kα.
Lines closer than 0.1° are merged.

Principal peaks in the range 5° ≤ 2θ ≤ 70°, low angle first:
2θ 26.06, d = 3.419 Å, intensity 383; 2θ 27.23, d = 3.275 Å, intensity 750; 2θ 27.71, d = 3.219 Å, intensity 384; 2θ 29.75, d = 3.003 Å, intensity 635; 2θ 31.28, d = 2.860 Å, intensity 509; 2θ 31.52, d = 2.839 Å, intensity 713; 2θ 32.38, d = 2.765 Å, intensity 1000; 2θ 37.54, d = 2.396 Å, intensity 268; 2θ 48.38, d = 1.881 Å, intensity 227; 2θ 50.78, d = 1.798 Å, intensity 286; 2θ 56.41, d = 1.631 Å, intensity 219; 2θ 60.02, d = 1.541 Å, intensity 223

Structural model:
abc: 9.4288 9.4288 6.5621
angles: 107.15 107.15 47.04
Sites, in units of the cell vectors:
Ac1 0.1333 0.6361 0.9121
Ac2 0.1844 0.1844 0.6354
Ac3 0.3639 0.8667 0.0879
Ac4 0.6361 0.1333 0.9121
Ac5 0.8156 0.8156 0.3646
Ac6 0.8667 0.3639 0.0879
Pr1 0.2686 0.7314 0.5000
Pr2 0.7314 0.2686 0.5000
Tl1 0.3116 0.3116 0.3115
Tl2 0.6884 0.6884 0.6885
Co1 0.0084 0.0084 0.2183
Co2 0.9916 0.9916 0.7817

***

Entry 11:
Diffraction record for Ac6CoPt3. The powder XRD pattern is computed, not measured: it uses a crystal structure in Alexandria, relaxed with GGA-PBE and Cu Kα.
Lines closer than 0.1° are merged.

Principal peaks in the range 5° ≤ 2θ ≤ 70°, low angle first:
2θ 26.61, d = 3.350 Å, intensity 1000; 2θ 26.89, d = 3.316 Å, intensity 468; 2θ 27.00, d = 3.302 Å, intensity 899; 2θ 27.95, d = 3.192 Å, intensity 857; 2θ 28.93, d = 3.086 Å, intensity 462; 2θ 29.26, d = 3.052 Å, intensity 419; 2θ 29.97, d = 2.982 Å, intensity 455; 2θ 30.18, d = 2.961 Å, intensity 423; 2θ 32.82, d = 2.729 Å, intensity 406; 2θ 35.89, d = 2.502 Å, intensity 568; 2θ 42.33, d = 2.135 Å, intensity 459; 2θ 47.15, d = 1.928 Å, intensity 391

Structural model:
abc: 7.2887 7.9955 13.2699
angles: 90.00 122.39 90.00
Sites, in units of the cell vectors:
Ac1 0.0930 0.1902 0.4224
Ac2 0.0930 0.3098 0.9224
Ac3 0.2372 0.6761 0.4228
Ac4 0.2372 0.8239 0.9228
Ac5 0.4023 0.0553 0.2444
Ac6 0.4023 0.4447 0.7444
Ac7 0.5977 0.5553 0.2556
Ac8 0.5977 0.9447 0.7556
Ac9 0.7628 0.1761 0.0772
Ac10 0.7628 0.3239 0.5772
Ac11 0.9070 0.6902 0.0776
Ac12 0.9070 0.8098 0.5776
Co1 0.0000 0.0000 0.0000
Co2 0.0000 0.5000 0.5000
Pt1 0.1916 0.1083 0.7445
Pt2 0.1916 0.3917 0.2445
Pt3 0.5000 0.0000 0.5000
Pt4 0.5000 0.5000 0.0000
Pt5 0.8084 0.6083 0.7555
Pt6 0.8084 0.8917 0.2555